No. 1
# KCuN
Calculated powder diffraction line list, Cu Kα (λ = 1.5418 Å). Input: the PBE geometry in the Materials Project.

Crystal structure
Lattice parameters (Å, degrees): 10.3446 3.5855 6.2557 90.00 90.00 90.00
Element x y z (fractional)
1 K 0.1594 0.2500 0.0739
2 K 0.3406 0.7500 0.5739
3 K 0.6594 0.2500 0.4261
4 K 0.8406 0.7500 0.9261
5 Cu 0.0579 0.2500 0.6109
6 Cu 0.4421 0.7500 0.1109
7 Cu 0.5579 0.2500 0.8891
8 Cu 0.9421 0.7500 0.3891
9 N 0.0723 0.7500 0.6639
10 N 0.4277 0.2500 0.1639
11 N 0.5723 0.7500 0.8361
12 N 0.9277 0.2500 0.3361

Peak list (12 most intense, 10° ≤ 2θ ≤ 90°, most intense first)
2θ (°)  d/Å  I (rel.)
16.56  5.353  100
30.33  2.947  91
39.20  2.298  86
29.58  3.020  73
17.14  5.172  67
29.84  2.994  61
38.87  2.317  51
53.15  1.723  50
37.64  2.390  46
53.88  1.702  32
33.62  2.666  30
50.94  1.793  28



No. 2
# SmCo2
Calculated powder diffraction line list, Cu Kα (λ = 1.5418 Å). Input: the PBE geometry in the Materials Project.

Crystal structure
Lattice parameters (Å, degrees): 5.1342 5.1342 5.1342 60.00 60.00 60.00
Element x y z (fractional)
1 Sm 0.1250 0.1250 0.1250
2 Sm 0.8750 0.8750 0.8750
3 Co 0.0000 0.5000 0.5000
4 Co 0.5000 0.0000 0.5000
5 Co 0.5000 0.5000 0.0000
6 Co 0.5000 0.5000 0.5000

Peak list (12 most intense, 10° ≤ 2θ ≤ 90°, most intense first)
2θ (°)  d/Å  I (rel.)
41.24  2.189  100
34.95  2.567  63
66.97  1.397  30
62.68  1.482  23
73.83  1.284  22
43.16  2.096  16
21.19  4.192  12
88.25  1.107  11
84.37  1.148  10
89.54  1.095  5
55.14  1.666  3
77.83  1.227  3



No. 3
# YMg14Cu
Calculated powder diffraction line list, Cu Kα (λ = 1.5418 Å). Input: the PBE geometry in the Materials Project.

Crystal structure
Lattice parameters (Å, degrees): 6.4058 6.4058 10.2397 90.00 90.00 120.00
Element x y z (fractional)
1 Y 0.0000 0.0000 0.0000
2 Mg 0.0125 0.5063 0.0000
3 Mg 0.1625 0.3251 0.2639
4 Mg 0.1625 0.3251 0.7361
5 Mg 0.1625 0.8375 0.2639
6 Mg 0.1625 0.8375 0.7361
7 Mg 0.4937 0.5063 0.0000
8 Mg 0.4937 0.9875 0.0000
9 Mg 0.5019 0.0039 0.5000
10 Mg 0.5019 0.4981 0.5000
11 Mg 0.6667 0.3333 0.2441
12 Mg 0.6667 0.3333 0.7559
13 Mg 0.6749 0.8375 0.2639
14 Mg 0.6749 0.8375 0.7361
15 Mg 0.9961 0.4981 0.5000
16 Cu 0.0000 0.0000 0.5000

Peak list (12 most intense, 10° ≤ 2θ ≤ 90°, most intense first)
2θ (°)  d/Å  I (rel.)
36.85  2.439  100
32.27  2.774  27
15.98  5.548  25
35.05  2.560  25
69.20  1.358  18
64.06  1.454  17
23.65  3.762  17
57.55  1.601  17
48.38  1.881  17
70.32  1.339  13
32.99  2.715  8
46.82  1.940  7



No. 4
# MgSi2
Calculated powder diffraction line list, Cu Kα (λ = 1.5418 Å). Input: the PBE geometry in the Materials Project.

Crystal structure
Lattice parameters (Å, degrees): 5.3830 5.3830 10.7829 97.69 97.69 42.31
Element x y z (fractional)
1 Mg 0.0587 0.0587 0.3348
2 Mg 0.3451 0.3451 0.8945
3 Mg 0.6549 0.6549 0.1055
4 Mg 0.9413 0.9413 0.6652
5 Si 0.0617 0.0617 0.9141
6 Si 0.2387 0.2387 0.6389
7 Si 0.3621 0.3621 0.2000
8 Si 0.3821 0.3821 0.4579
9 Si 0.6179 0.6179 0.5421
10 Si 0.6379 0.6379 0.8000
11 Si 0.7613 0.7613 0.3611
12 Si 0.9383 0.9383 0.0859

Peak list (12 most intense, 10° ≤ 2θ ≤ 90°, most intense first)
2θ (°)  d/Å  I (rel.)
35.65  2.519  100
36.33  2.473  93
37.74  2.383  69
46.77  1.942  63
40.97  2.203  50
41.25  2.189  41
47.56  1.912  30
20.78  4.275  24
35.85  2.505  24
68.91  1.363  19
70.65  1.333  18
43.69  2.072  18



No. 5
# H12PdC4N2O10
Calculated powder diffraction line list, Cu Kα (λ = 1.5418 Å). Input: the PBE geometry in the Materials Project.

Crystal structure
Lattice parameters (Å, degrees): 7.5180 14.0991 6.5578 90.00 115.31 90.00
Element x y z (fractional)
1 H 0.0162 0.1158 0.3548
2 H 0.0162 0.3842 0.8548
3 H 0.0456 0.2027 0.5421
4 H 0.0456 0.2973 0.0421
5 H 0.0980 0.6065 0.9724
6 H 0.0980 0.8935 0.4724
7 H 0.1723 0.6912 0.1798
8 H 0.1723 0.8088 0.6798
9 H 0.3731 0.6715 0.8269
10 H 0.3731 0.8285 0.3269
11 H 0.4780 0.7368 0.4624
12 H 0.4780 0.7632 0.9624
13 H 0.5220 0.2368 0.0376
14 H 0.5220 0.2632 0.5376
15 H 0.6269 0.1715 0.6731
16 H 0.6269 0.3285 0.1731
17 H 0.8277 0.1912 0.3202
18 H 0.8277 0.3088 0.8202
19 H 0.9020 0.1065 0.5276
20 H 0.9020 0.3935 0.0276
21 H 0.9544 0.7027 0.9579
22 H 0.9544 0.7973 0.4579
23 H 0.9838 0.6158 0.1452
24 H 0.9838 0.8842 0.6452
25 Pd 0.5000 0.0000 0.0000
26 Pd 0.5000 0.5000 0.5000
27 C 0.2410 0.1100 0.1082
28 C 0.2410 0.3900 0.6082
29 C 0.2471 0.0114 0.2151
30 C 0.2471 0.4886 0.7151
31 C 0.7529 0.5114 0.2849
32 C 0.7529 0.9886 0.7849
33 C 0.7590 0.6100 0.3918
34 C 0.7590 0.8900 0.8918
35 N 0.0526 0.6532 0.0629
36 N 0.0526 0.8468 0.5629
37 N 0.9474 0.1532 0.4371
38 N 0.9474 0.3468 0.9371
39 O 0.1403 0.1742 0.1351
40 O 0.1403 0.3258 0.6351
41 O 0.1456 0.5026 0.8208
42 O 0.1456 0.9974 0.3208
43 O 0.3466 0.1188 0.9953
44 O 0.3466 0.3812 0.4953
45 O 0.3518 0.7296 0.8967
46 O 0.3518 0.7704 0.3967
47 O 0.3615 0.5514 0.6871
48 O 0.3615 0.9486 0.1871
49 O 0.6385 0.0514 0.8129
50 O 0.6385 0.4486 0.3129
51 O 0.6482 0.2296 0.6033
52 O 0.6482 0.2704 0.1033
53 O 0.6534 0.6188 0.5047
54 O 0.6534 0.8812 0.0047
55 O 0.8544 0.0026 0.6792
56 O 0.8544 0.4974 0.1792
57 O 0.8597 0.6742 0.3649
58 O 0.8597 0.8258 0.8649

Peak list (12 most intense, 10° ≤ 2θ ≤ 90°, most intense first)
2θ (°)  d/Å  I (rel.)
24.60  3.619  100
16.22  5.465  85
12.56  7.050  66
18.13  4.893  39
13.03  6.796  30
24.19  3.679  24
30.70  2.913  21
26.96  3.307  21
28.53  3.129  18
37.46  2.401  17
30.52  2.929  17
50.43  1.810  16



No. 6
# Li3TiS3
Calculated powder diffraction line list, Cu Kα (λ = 1.5418 Å). Input: the PBE geometry in the Materials Project.

Crystal structure
Lattice parameters (Å, degrees): 6.9617 6.9617 5.9152 106.24 106.24 113.24
Element x y z (fractional)
1 Li 0.0382 0.9618 0.7500
2 Li 0.0536 0.5985 0.2992
3 Li 0.4015 0.9464 0.2008
4 Li 0.5985 0.0536 0.7992
5 Li 0.9464 0.4015 0.7008
6 Li 0.9618 0.0382 0.2500
7 Ti 0.5000 0.5000 0.0000
8 Ti 0.5000 0.5000 0.5000
9 S 0.1408 0.3274 0.0753
10 S 0.3235 0.6765 0.7500
11 S 0.3274 0.1408 0.5753
12 S 0.6726 0.8592 0.4247
13 S 0.6765 0.3235 0.2500
14 S 0.8592 0.6726 0.9247

Peak list (12 most intense, 10° ≤ 2θ ≤ 90°, most intense first)
2θ (°)  d/Å  I (rel.)
15.44  5.738  100
28.13  3.173  61
38.56  2.335  56
15.24  5.813  45
27.91  3.197  28
38.93  2.314  26
44.91  2.018  26
54.96  1.671  22
41.40  2.181  18
36.15  2.485  18
35.73  2.513  18
35.56  2.525  17



No. 7
# Ho4Zr3O12
Calculated powder diffraction line list, Cu Kα (λ = 1.5418 Å). Input: the PBE geometry in the Materials Project.

Crystal structure
Lattice parameters (Å, degrees): 6.4053 6.4578 12.8744 99.14 99.42 99.30
Element x y z (fractional)
1 Ho 0.1105 0.1367 0.4033
2 Ho 0.1884 0.3905 0.6809
3 Ho 0.2007 0.3898 0.1809
4 Ho 0.3597 0.6922 0.9467
5 Ho 0.6403 0.3078 0.0533
6 Ho 0.7993 0.6102 0.8191
7 Ho 0.8116 0.6095 0.3191
8 Ho 0.8895 0.8633 0.5967
9 Zr 0.1084 0.1441 0.9070
10 Zr 0.3550 0.6768 0.4462
11 Zr 0.4921 0.9934 0.7472
12 Zr 0.5079 0.0066 0.2528
13 Zr 0.6450 0.3232 0.5538
14 Zr 0.8916 0.8559 0.0930
15 O 0.0680 0.8298 0.9633
16 O 0.0738 0.4165 0.8414
17 O 0.0893 0.8185 0.4633
18 O 0.0927 0.4337 0.3419
19 O 0.1797 0.0561 0.7115
20 O 0.1823 0.0390 0.2029
21 O 0.3148 0.4077 0.0308
22 O 0.3262 0.4249 0.5344
23 O 0.4232 0.6816 0.7779
24 O 0.4230 0.6928 0.2914
25 O 0.4244 0.0797 0.9057
26 O 0.4632 0.1060 0.4110
27 O 0.5368 0.8940 0.5890
28 O 0.5756 0.9203 0.0943
29 O 0.5770 0.3072 0.7086
30 O 0.5768 0.3184 0.2221
31 O 0.6738 0.5751 0.4656
32 O 0.6852 0.5923 0.9692
33 O 0.8177 0.9610 0.7971
34 O 0.8203 0.9439 0.2885
35 O 0.9073 0.5663 0.6580
36 O 0.9107 0.1815 0.5367
37 O 0.9262 0.5835 0.1586
38 O 0.9320 0.1702 0.0367

Peak list (12 most intense, 10° ≤ 2θ ≤ 90°, most intense first)
2θ (°)  d/Å  I (rel.)
29.44  3.034  100
29.59  3.019  50
29.22  3.057  46
34.17  2.624  40
49.14  1.854  28
33.97  2.639  22
58.03  1.590  21
58.46  1.579  18
49.23  1.851  15
48.73  1.869  14
49.05  1.857  13
48.67  1.871  13



No. 8
# Ho6InCo2
Calculated powder diffraction line list, Cu Kα (λ = 1.5418 Å). Input: the PBE geometry in the Materials Project.

Crystal structure
Lattice parameters (Å, degrees): 8.3395 8.3395 8.3395 111.69 110.01 106.75
Element x y z (fractional)
1 Ho 0.0210 0.2318 0.7892
2 Ho 0.1868 0.2879 0.4747
3 Ho 0.1868 0.7121 0.8990
4 Ho 0.3153 0.0112 0.6959
5 Ho 0.3153 0.6195 0.3041
6 Ho 0.4426 0.2318 0.2108
7 Ho 0.5574 0.7682 0.7892
8 Ho 0.6847 0.3805 0.6959
9 Ho 0.6847 0.9888 0.3041
10 Ho 0.8132 0.2879 0.1010
11 Ho 0.8132 0.7121 0.5253
12 Ho 0.9790 0.7682 0.2108
13 In 0.0000 0.0000 0.0000
14 In 0.5000 0.5000 0.0000
15 Co 0.1126 0.6126 0.5000
16 Co 0.3762 0.0000 0.3762
17 Co 0.6238 0.0000 0.6238
18 Co 0.8874 0.3874 0.5000

Peak list (12 most intense, 10° ≤ 2θ ≤ 90°, most intense first)
2θ (°)  d/Å  I (rel.)
32.24  2.776  100
34.76  2.581  35
34.44  2.604  28
35.23  2.548  26
60.25  1.536  20
30.12  2.967  20
56.42  1.631  20
38.46  2.341  17
28.50  3.132  16
36.11  2.488  15
59.12  1.563  15
35.51  2.528  15